DyUSe3: simulated XRD peak list (Cu Kα (λ = 1.5418 Å)), based on DFT lattice parameters and positions (PBE).
Peak positions follow from Bragg's law for the DFT cell and can differ from measured ones.

Peak list (12 most intense, 2θ from 10° to 90°, in order of rising 2θ)
two_theta	d [Å]	I (rel.)	h k l
22.57	3.939	29	0 0 4
23.87	3.727	35	2 0 1
25.42	3.504	75	1 0 4
27.74	3.216	31	0 1 3
30.67	2.915	29	1 0 5
33.76	2.655	27	1 1 4
34.08	2.631	100	2 1 2
36.45	2.465	23	2 1 3
37.97	2.370	50	1 1 5
44.55	2.034	39	0 2 0
47.66	1.908	24	1 0 8
68.25	1.374	25	4 2 2

Crystal structure
Unit cell a=7.672 b=4.068 c=15.759 alpha=90.00 beta=90.00 gamma=90.00
Space group Pnma (No. 62)
One atom of each set of equivalent atoms:
Dy  0.236  0.250  0.043
U  0.134  0.750  0.293
Se  0.006  0.750  0.108
Se  0.122  0.250  0.432
Se  0.148  0.750  0.721